Structure and theoretical powder diffractogram of LiReBr6 (a crystal structure in Alexandria, relaxed with PBE; Cu Kα (weighted mean of Kα1 and Kα2)).
Kinematic intensities with the Lorentz-polarization factor, no thermal factor.

Cell and atoms:
```
LiReBr6
1.0
3.313 1.913 5.911
-3.313 1.913 5.911
0.000 -3.825 5.911
Li Re Br
1 1 6
Direct
0.000 0.000 0.000 Li
0.500 0.500 0.500 Re
0.107 0.426 0.726 Br
0.274 0.893 0.574 Br
0.426 0.726 0.107 Br
0.574 0.274 0.893 Br
0.726 0.107 0.426 Br
0.893 0.574 0.274 Br
```

Principal peaks in the range 2θ from 15° to 90°, low angle first:
2theta	I_rel
16.24	56.8
18.42	36.9
25.39	12.7
30.94	100.0
40.92	42.5
47.54	31.0
54.16	23.5
57.81	14.3
78.00	10.9
82.49	12.2